No. 1
Starting from a structure optimized by DFT (PBE), the powder X-ray diffraction pattern of RbMg6Sb was calculated for Cu Kα.

The 6 most intense peaks (10 to 80 degrees two-theta), in order of rising 2θ:
(0 1 1), 14.51°, intensity 684; (1 0 2), 22.44°, intensity 626; (1 1 3), 30.53°, intensity 310; (1 0 4), 33.83°, intensity 383; (1 2 2), 34.08°, intensity 1000; (2 0 0), 34.58°, intensity 315

Cell: 5.1883 7.0247 12.3290 Å, 90.00 90.00 90.00°
Space group Amm2 (No. 38)
Symmetry-distinct sites (fractional):
Rb (0.0000, 0.0000, 0.0000) [2 per cell]
Mg (0.0000, 0.0000, 0.5162) [2 per cell]
Mg (0.0000, 0.2426, 0.7508) [4 per cell]
Mg (0.5000, 0.0000, 0.3411) [2 per cell]
Mg (0.5000, 0.2197, 0.6024) [4 per cell]
Sb (0.5000, 0.0000, 0.8132) [2 per cell]

No. 2
Starting from a structure optimized by DFT (PBE), the powder X-ray diffraction pattern of RbMg14Si was calculated for Cu Kα.

The 6 most intense peaks (10 to 80 degrees two-theta), in order of rising 2θ:
(2 0 0), 32.21°, intensity 248; (0 0 4), 32.92°, intensity 273; (2 0 2), 36.30°, intensity 1000; (2 2 0), 57.44°, intensity 169; (2 0 6), 61.00°, intensity 179; (2 2 4), 67.81°, intensity 185

Cell: 6.4177 6.4177 10.8838 Å, 90.00 90.00 120.00°
Space group P-6m2 (No. 187)
Symmetry-distinct sites (fractional):
Rb (0.0000, 0.0000, 0.0000) [1 per cell]
Mg (0.0070, 0.5035, 0.0000) [3 per cell]
Mg (0.1671, 0.3342, 0.2693) [6 per cell]
Mg (0.5030, 0.0059, 0.5000) [3 per cell]
Mg (0.6667, 0.3333, 0.2415) [2 per cell]
Si (0.0000, 0.0000, 0.5000) [1 per cell]

No. 3
Starting from a structure optimized by DFT (PBE), the powder X-ray diffraction pattern of RbMg14Si was calculated for Cu Kα.

The 6 most intense peaks (10 to 80 degrees two-theta), in order of rising 2θ:
(0 2 2), 31.72°, intensity 310; (4 0 0), 34.23°, intensity 400; (2 0 4), 35.62°, intensity 564; (2 2 2), 36.16°, intensity 1000; (4 2 2), 47.36°, intensity 187; (6 2 2), 62.56°, intensity 166

Cell: 10.4779 6.4750 11.5010 Å, 90.00 90.00 90.00°
Space group Amm2 (No. 38)
Symmetry-distinct sites (fractional):
Rb (0.0000, 0.0000, 0.0000) [2 per cell]
Mg (0.0000, 0.2482, 0.2502) [4 per cell]
Mg (0.2285, 0.0000, 0.6414) [4 per cell]
Mg (0.2588, 0.2411, 0.3956) [8 per cell]
Mg (0.2707, 0.0000, 0.1539) [4 per cell]
Mg (0.5000, 0.0000, 0.4837) [2 per cell]
Mg (0.5000, 0.0000, 0.9794) [2 per cell]
Mg (0.5000, 0.2438, 0.7318) [4 per cell]
Si (0.0000, 0.0000, 0.4438) [2 per cell]

No. 4
Starting from a structure optimized by DFT (PBE), the powder X-ray diffraction pattern of RbMg6Si was calculated for Cu Kα.

The 6 most intense peaks (10 to 80 degrees two-theta), in order of rising 2θ:
(1 0 2), 23.23°, intensity 345; (1 1 1), 24.17°, intensity 345; (0 2 2), 28.66°, intensity 471; (1 0 4), 32.12°, intensity 664; (1 2 2), 34.87°, intensity 1000; (2 0 0), 39.48°, intensity 336

Cell: 4.5642 6.9482 14.0723 Å, 90.00 90.00 90.00°
Space group Amm2 (No. 38)
Symmetry-distinct sites (fractional):
Rb (0.0000, 0.0000, 0.0000) [2 per cell]
Mg (0.0000, 0.0000, 0.4825) [2 per cell]
Mg (0.0000, 0.2385, 0.2185) [4 per cell]
Mg (0.5000, 0.0000, 0.6361) [2 per cell]
Mg (0.5000, 0.2155, 0.3596) [4 per cell]
Si (0.5000, 0.0000, 0.1947) [2 per cell]

No. 5
Starting from a structure optimized by DFT (PBE), the powder X-ray diffraction pattern of RbMg6Sn was calculated for Cu Kα.

The 6 most intense peaks (10 to 80 degrees two-theta), in order of rising 2θ:
(0 0 2), 14.79°, intensity 444; (1 0 2), 22.47°, intensity 383; (0 2 2), 29.70°, intensity 335; (1 2 2), 34.32°, intensity 1000; (1 0 4), 34.47°, intensity 455; (2 2 6), 64.41°, intensity 325

Cell: 5.2730 6.9585 11.9671 Å, 90.00 90.00 90.00°
Space group Amm2 (No. 38)
Symmetry-distinct sites (fractional):
Rb (0.0000, 0.0000, 0.0000) [2 per cell]
Mg (0.0000, 0.2438, 0.7489) [4 per cell]
Mg (0.5000, 0.0000, 0.3294) [2 per cell]
Mg (0.5000, 0.0000, 0.8157) [2 per cell]
Mg (0.5000, 0.2290, 0.5872) [4 per cell]
Sn (0.0000, 0.0000, 0.5034) [2 per cell]

No. 6
Starting from a structure optimized by DFT (PBE), the powder X-ray diffraction pattern of RbMg14Sn was calculated for Cu Kα.

The 6 most intense peaks (10 to 80 degrees two-theta), in order of rising 2θ:
(1 0 2), 17.82°, intensity 254; (0 2 2), 31.18°, intensity 261; (4 0 0), 33.67°, intensity 359; (2 2 2), 35.54°, intensity 1000; (2 0 4), 36.09°, intensity 439; (6 2 2), 61.43°, intensity 205

Cell: 10.6489 6.6689 11.2589 Å, 90.00 90.00 90.00°
Space group Amm2 (No. 38)
Symmetry-distinct sites (fractional):
Rb (0.0000, 0.0000, 0.0000) [2 per cell]
Mg (0.0000, 0.2443, 0.2517) [4 per cell]
Mg (0.2464, 0.0000, 0.6683) [4 per cell]
Mg (0.2632, 0.2411, 0.4168) [8 per cell]
Mg (0.2663, 0.0000, 0.1739) [4 per cell]
Mg (0.5000, 0.0000, 0.0002) [2 per cell]
Mg (0.5000, 0.0000, 0.5020) [2 per cell]
Mg (0.5000, 0.2471, 0.7498) [4 per cell]
Sn (0.0000, 0.0000, 0.4932) [2 per cell]

No. 7
Starting from a structure optimized by DFT (PBE), the powder X-ray diffraction pattern of RbMg6Sn was calculated for Cu Kα.

The 6 most intense peaks (10 to 80 degrees two-theta), in order of rising 2θ:
(0 1 1), 14.51°, intensity 506; (1 0 2), 22.40°, intensity 432; (0 0 4), 29.27°, intensity 255; (1 1 3), 30.61°, intensity 218; (1 2 2), 34.02°, intensity 1000; (2 0 0), 34.33°, intensity 228

Cell: 5.2244 7.0534 12.1963 Å, 90.00 90.00 90.00°
Space group Amm2 (No. 38)
Symmetry-distinct sites (fractional):
Rb (0.0000, 0.0000, 0.0000) [2 per cell]
Mg (0.0000, 0.0000, 0.4939) [2 per cell]
Mg (0.0000, 0.2416, 0.2512) [4 per cell]
Mg (0.5000, 0.0000, 0.6649) [2 per cell]
Mg (0.5000, 0.2164, 0.4060) [4 per cell]
Sn (0.5000, 0.0000, 0.1867) [2 per cell]

No. 8
Starting from a structure optimized by DFT (PBE), the powder X-ray diffraction pattern of RbMg14Sn was calculated for Cu Kα.

The 6 most intense peaks (10 to 80 degrees two-theta), in order of rising 2θ:
(1 0 0), 15.68°, intensity 332; (1 0 2), 22.59°, intensity 340; (2 0 0), 31.67°, intensity 279; (0 0 4), 32.64°, intensity 278; (2 0 2), 35.75°, intensity 1000; (2 0 6), 60.28°, intensity 202

Cell: 6.5248 6.5248 10.9731 Å, 90.00 90.00 120.00°
Space group P-6m2 (No. 187)
Symmetry-distinct sites (fractional):
Rb (0.0000, 0.0000, 0.0000) [1 per cell]
Mg (0.0063, 0.5031, 0.0000) [3 per cell]
Mg (0.1717, 0.3434, 0.2619) [6 per cell]
Mg (0.5020, 0.0040, 0.5000) [3 per cell]
Mg (0.6667, 0.3333, 0.2432) [2 per cell]
Sn (0.0000, 0.0000, 0.5000) [1 per cell]

No. 9
Starting from a structure optimized by DFT (PBE), the powder X-ray diffraction pattern of RbSrMg6 was calculated for Cu Kα.

The 6 most intense peaks (10 to 80 degrees two-theta), in order of rising 2θ:
(1 0 0), 16.73°, intensity 255; (1 0 2), 21.29°, intensity 501; (0 2 2), 28.09°, intensity 447; (1 0 4), 31.33°, intensity 614; (1 2 2), 32.88°, intensity 1000; (2 0 0), 33.84°, intensity 331

Cell: 5.2983 7.1914 13.5549 Å, 90.00 90.00 90.00°
Space group Amm2 (No. 38)
Symmetry-distinct sites (fractional):
Rb (0.0000, 0.0000, 0.0000) [2 per cell]
Sr (0.0000, 0.0000, 0.4951) [2 per cell]
Mg (0.0000, 0.2453, 0.7472) [4 per cell]
Mg (0.5000, 0.0000, 0.1852) [2 per cell]
Mg (0.5000, 0.0000, 0.6786) [2 per cell]
Mg (0.5000, 0.2377, 0.3718) [4 per cell]

No. 10
Starting from a structure optimized by DFT (PBE), the powder X-ray diffraction pattern of RbSrMg6 was calculated for Cu Kα.

The 6 most intense peaks (10 to 80 degrees two-theta), in order of rising 2θ:
(0 1 1), 14.23°, intensity 319; (1 0 2), 21.42°, intensity 311; (0 0 4), 28.68°, intensity 245; (2 0 0), 32.18°, intensity 242; (1 2 2), 32.98°, intensity 1000; (0 4 0), 50.82°, intensity 275

Cell: 5.5626 7.1854 12.4508 Å, 90.00 90.00 90.00°
Space group Amm2 (No. 38)
Symmetry-distinct sites (fractional):
Rb (0.0000, 0.0000, 0.0000) [2 per cell]
Sr (0.5000, 0.0000, 0.8177) [2 per cell]
Mg (0.0000, 0.0000, 0.4914) [2 per cell]
Mg (0.0000, 0.2404, 0.2409) [4 per cell]
Mg (0.5000, 0.0000, 0.3243) [2 per cell]
Mg (0.5000, 0.2294, 0.5769) [4 per cell]

No. 11
Starting from a structure optimized by DFT (PBE), the powder X-ray diffraction pattern of RbMg6Ti was calculated for Cu Kα.

The 6 most intense peaks (10 to 80 degrees two-theta), in order of rising 2θ:
(1 1 1), 22.11°, intensity 228; (2 0 0), 33.53°, intensity 300; (0 0 4), 33.67°, intensity 241; (1 2 2), 33.84°, intensity 1000; (2 0 4), 48.26°, intensity 167; (3 2 2), 60.15°, intensity 176

Cell: 5.3450 7.4426 10.6464 Å, 90.00 90.00 90.00°
Space group Amm2 (No. 38)
Symmetry-distinct sites (fractional):
Rb (0.0000, 0.0000, 0.0000) [2 per cell]
Mg (0.0000, 0.0000, 0.5587) [2 per cell]
Mg (0.0000, 0.1999, 0.2787) [4 per cell]
Mg (0.5000, 0.0000, 0.7547) [2 per cell]
Mg (0.5000, 0.2156, 0.4971) [4 per cell]
Ti (0.5000, 0.0000, 0.2574) [2 per cell]

No. 12
Starting from a structure optimized by DFT (PBE), the powder X-ray diffraction pattern of RbMg6Ti was calculated for Cu Kα.

The 6 most intense peaks (10 to 80 degrees two-theta), in order of rising 2θ:
(1 1 0), 18.18°, intensity 216; (2 0 1), 32.81°, intensity 1000; (2 2 0), 36.84°, intensity 338; (2 2 2), 55.83°, intensity 192; (4 2 1), 63.83°, intensity 206; (2 0 3), 68.75°, intensity 192

Cell: 6.9006 6.9006 4.4628 Å, 90.00 90.00 90.00°
Space group P4/mmm (No. 123)
Symmetry-distinct sites (fractional):
Rb (0.0000, 0.0000, 0.0000) [1 per cell]
Mg (0.0000, 0.5000, 0.0000) [2 per cell]
Mg (0.2854, 0.2854, 0.5000) [4 per cell]
Ti (0.5000, 0.5000, 0.0000) [1 per cell]